Diffraction record for Co7SiN6. The powder X-ray diffraction pattern is simulated, not measured: it uses a crystal structure in the Materials Project, relaxed with GGA-PBE and λ = 1.5418 Å (Cu Kα).
Lines closer than 0.1° are merged.

Structural model:
```
data_Co7SiN6
_cell_length_a 9.263
_cell_length_b 5.393
_cell_length_c 11.579
_cell_angle_alpha 90.00
_cell_angle_beta 90.00
_cell_angle_gamma 90.00
_space_group_name_H-M_alt 'P b c n'
_space_group_IT_number 60
_space_group_name_Hall '-P 2n 2ab'
loop_
_atom_site_label
_atom_site_fract_x
_atom_site_fract_y
_atom_site_fract_z
Co1 0.000 0.114 0.250
Co2 0.007 0.256 0.035
Co3 0.183 0.062 0.912
Co4 0.228 0.128 0.618
Si1 0.000 0.381 0.750
N1 0.080 0.385 0.166
N2 0.137 0.156 0.764
N3 0.183 0.244 0.475
```

Principal peaks in the range 15 to 90 degrees two-theta, most intense first:
36.6 deg, I = 100, hkl 2 0 4
39.4 deg, I = 61, hkl 2 2 1
40.8 deg, I = 50, hkl 0 2 3
34.4 deg, I = 31, hkl 3 1 1
38.9 deg, I = 31, hkl 4 0 0
19.0 deg, I = 28, hkl 1 1 0
33.4 deg, I = 26, hkl 3 1 0
41.8 deg, I = 25, hkl 2 2 2


Diffraction record for Y2O3. The powder X-ray diffraction pattern is simulated, not measured: it uses a crystal structure in the Materials Project, relaxed with GGA-PBE and λ = 1.5418 Å (Cu Kα).
Lines closer than 0.1° are merged.

Structural model:
```
data_Y2O3
_cell_length_a 3.806
_cell_length_b 3.806
_cell_length_c 5.557
_cell_angle_alpha 90.00
_cell_angle_beta 90.00
_cell_angle_gamma 90.00
_space_group_name_H-M_alt 'P -4 m 2'
_space_group_IT_number 115
_space_group_name_Hall 'P -4 -2'
loop_
_atom_site_label
_atom_site_fract_x
_atom_site_fract_y
_atom_site_fract_z
Y1 0.000 0.500 0.211
O1 0.000 0.000 0.000
O2 0.000 0.000 0.500
O3 0.500 0.500 0.000
```

Principal peaks in the range 15 to 90 degrees two-theta, most intense first:
28.4 deg, I = 100, hkl 1 0 1
47.0 deg, I = 33, hkl 1 1 2
56.5 deg, I = 27, hkl 2 1 1
47.8 deg, I = 19, hkl 2 0 0
33.3 deg, I = 18, hkl 1 1 0
15.9 deg, I = 13, hkl 0 0 1
88.5 deg, I = 9, hkl 3 1 2
40.2 deg, I = 9, hkl 1 0 2